Diffraction record for Li4TiNi3O8. The powder diffractogram is calculated, not measured: it uses a DFT-relaxed cell (GGA+U, Alexandria) and Cu Kα X-rays.
No peak broadening, texture or thermal motion is included.

Principal peaks in the range 5 to 70 degrees two-theta, low angle first:
2theta  I (rel.)  (hkl)
18.36  1000  0 1 1
35.74  303  2 1 -1
36.45  128  2 -1 1
37.60  147  2 0 2
43.10  262  0 0 4
43.23  261  2 2 0
44.41  238  2 -2 0
47.87  92  0 3 -1
62.98  72  2 2 -4
63.42  135  0 4 0

Crystal structure
Cell: 5.8248 5.8654 8.3964 Å, 89.39 89.92 88.53°
Space group P-1 (No. 2)
One atom of each set of equivalent atoms:
Li: 0.0000 0.0000 0.0000 x1
Li: 0.0000 0.5000 0.5000 x1
Li: 0.2447 0.2489 0.7501 x2
Li: 0.2498 0.7511 0.2476 x2
Li: 0.5000 0.0000 0.0000 x1
Li: 0.5000 0.5000 0.5000 x1
Ti: 0.2479 0.2504 0.2501 x2
Ni: 0.0000 0.0000 0.5000 x1
Ni: 0.0000 0.5000 0.0000 x1
Ni: 0.2467 0.7503 0.7499 x2
Ni: 0.5000 0.0000 0.5000 x1
Ni: 0.5000 0.5000 0.0000 x1
O: 0.0028 0.9774 0.7510 x2
O: 0.0199 0.4967 0.2492 x2
O: 0.2320 0.2327 0.4894 x2
O: 0.2372 0.2670 0.0106 x2
O: 0.2376 0.7310 0.9795 x2
O: 0.2441 0.7686 0.5204 x2
O: 0.4811 0.0071 0.2454 x2
O: 0.4966 0.5263 0.7453 x2